Record 1
Diffraction record for Cu7Ag3. The XRD peak list is simulated, not measured: it uses DFT lattice parameters and positions (GGA-PBE) and Cu Kα (λ = 1.5418 Å).
Kinematic intensities with the Lorentz-polarization factor, no thermal factor.

Structural model:
```
data_Cu7Ag3
_space_group_name_H-M_alt 'P 1'
_space_group_IT_number 1
_cell_length_a 4.629
_cell_length_b 4.637
_cell_length_c 12.788
_cell_angle_alpha 87.47
_cell_angle_beta 86.95
_cell_angle_gamma 80.45
loop_
_space_group_symop_operation_xyz
'x,y,z'
loop_
_atom_site_label
_atom_site_fract_x
_atom_site_fract_y
_atom_site_fract_z
_atom_site_occupancy
Cu1 0.000 0.000 0.000 1
Cu2 0.001 0.415 0.603 1
Cu3 0.012 0.224 0.818 1
Cu4 0.233 0.063 0.444 1
Cu5 0.243 0.465 0.042 1
Cu6 0.252 0.675 0.862 1
Cu7 0.485 0.907 0.094 1
Cu8 0.505 0.112 0.910 1
Cu9 0.506 0.723 0.294 1
Cu10 0.746 0.569 0.949 1
Cu11 0.752 0.150 0.346 1
Cu12 0.765 0.766 0.767 1
Cu13 0.986 0.620 0.390 1
Cu14 0.998 0.813 0.195 1
Ag1 0.242 0.873 0.661 1
Ag2 0.249 0.263 0.249 1
Ag3 0.479 0.511 0.491 1
Ag4 0.521 0.319 0.714 1
Ag5 0.746 0.364 0.141 1
Ag6 0.754 0.956 0.547 1
```

Main lines, in order of falling intensity (5 to 70 degrees two-theta):
Position (°2θ), I (rel.)
41.46, 100
41.34, 50
41.22, 49
47.75, 33
48.13, 33
48.54, 27
42.35, 4
35.09, 3
36.74, 3
6.93, 2

Record 2
Diffraction record for Y2ReTcN6. The XRD peak list is simulated, not measured: it uses DFT lattice parameters and positions (GGA-PBE) and Cu Kα (λ = 1.5418 Å).
Kinematic intensities with the Lorentz-polarization factor, no thermal factor.

Structural model:
```
data_Y2ReTcN6
_space_group_name_H-M_alt 'P 1'
_space_group_IT_number 1
_cell_length_a 5.530
_cell_length_b 5.530
_cell_length_c 5.530
_cell_angle_alpha 122.29
_cell_angle_beta 122.29
_cell_angle_gamma 86.08
loop_
_space_group_symop_operation_xyz
'x,y,z'
loop_
_atom_site_label
_atom_site_fract_x
_atom_site_fract_y
_atom_site_fract_z
_atom_site_occupancy
Y1 0.250 0.750 0.500 1
Y2 0.750 0.250 0.500 1
Re1 0.000 0.000 0.000 1
Tc1 0.500 0.500 0.000 1
N1 0.173 0.674 0.847 1
N2 0.248 0.248 0.000 1
N3 0.326 0.173 0.498 1
N4 0.674 0.827 0.502 1
N5 0.752 0.752 0.000 1
N6 0.827 0.326 0.153 1
```

Main lines, in order of falling intensity (5 to 70 degrees two-theta):
Position (°2θ), I (rel.)
32.46, 100
33.58, 54
59.34, 41
57.18, 23
48.23, 23
44.85, 16
67.97, 16
19.93, 12
23.57, 9
21.99, 6

Record 3
Diffraction record for InAgSnS3. The XRD peak list is simulated, not measured: it uses DFT lattice parameters and positions (GGA-PBE) and Cu Kα (λ = 1.5418 Å).
Kinematic intensities with the Lorentz-polarization factor, no thermal factor.

Structural model:
```
data_InAgSnS3
_space_group_name_H-M_alt 'P 1'
_space_group_IT_number 1
_cell_length_a 7.476
_cell_length_b 7.476
_cell_length_c 10.387
_cell_angle_alpha 90.00
_cell_angle_beta 90.00
_cell_angle_gamma 150.37
loop_
_space_group_symop_operation_xyz
'x,y,z'
loop_
_atom_site_label
_atom_site_fract_x
_atom_site_fract_y
_atom_site_fract_z
_atom_site_occupancy
In1 0.000 0.000 0.000 1
In2 0.000 0.000 0.500 1
Ag1 0.339 0.661 0.750 1
Ag2 0.661 0.339 0.250 1
Sn1 0.325 0.675 0.250 1
Sn2 0.675 0.325 0.750 1
S1 0.050 0.950 0.750 1
S2 0.376 0.624 0.522 1
S3 0.376 0.624 0.978 1
S4 0.624 0.376 0.022 1
S5 0.624 0.376 0.478 1
S6 0.950 0.050 0.250 1
```

Main lines, in order of falling intensity (5 to 70 degrees two-theta):
Position (°2θ), I (rel.)
29.83, 100
21.06, 61
46.27, 56
34.54, 45
42.91, 36
29.67, 27
37.33, 17
47.57, 16
60.10, 15
53.71, 13

Record 4
Diffraction record for Cu7Ag3. The XRD peak list is simulated, not measured: it uses DFT lattice parameters and positions (GGA-PBE) and Cu Kα (λ = 1.5418 Å).
Kinematic intensities with the Lorentz-polarization factor, no thermal factor.

Structural model:
```
data_Cu7Ag3
_space_group_name_H-M_alt 'P 1'
_space_group_IT_number 1
_cell_length_a 21.327
_cell_length_b 21.327
_cell_length_c 21.327
_cell_angle_alpha 7.36
_cell_angle_beta 7.36
_cell_angle_gamma 7.36
loop_
_space_group_symop_operation_xyz
'x,y,z'
loop_
_atom_site_label
_atom_site_fract_x
_atom_site_fract_y
_atom_site_fract_z
_atom_site_occupancy
Cu1 0.000 0.000 0.000 1
Cu2 0.201 0.201 0.201 1
Cu3 0.302 0.302 0.302 1
Cu4 0.395 0.395 0.395 1
Cu5 0.605 0.605 0.605 1
Cu6 0.698 0.698 0.698 1
Cu7 0.799 0.799 0.799 1
Ag1 0.097 0.097 0.097 1
Ag2 0.500 0.500 0.500 1
Ag3 0.903 0.903 0.903 1
```

Main lines, in order of falling intensity (5 to 70 degrees two-theta):
Position (°2θ), I (rel.)
40.61, 100
47.81, 56
42.50, 23
68.58, 20
38.08, 7
45.25, 6
20.88, 5
67.13, 5
39.28, 3
38.64, 3

Record 5
Diffraction record for RbGd3F10. The XRD peak list is simulated, not measured: it uses DFT lattice parameters and positions (GGA-PBE) and Cu Kα (λ = 1.5418 Å).
Kinematic intensities with the Lorentz-polarization factor, no thermal factor.

Structural model:
```
data_RbGd3F10
_space_group_name_H-M_alt 'P 1'
_space_group_IT_number 1
_cell_length_a 8.141
_cell_length_b 8.141
_cell_length_c 13.287
_cell_angle_alpha 90.00
_cell_angle_beta 90.00
_cell_angle_gamma 120.00
loop_
_space_group_symop_operation_xyz
'x,y,z'
loop_
_atom_site_label
_atom_site_fract_x
_atom_site_fract_y
_atom_site_fract_z
_atom_site_occupancy
Rb1 0.000 0.000 0.000 1
Rb2 0.000 0.000 0.500 1
Rb3 0.333 0.667 0.243 1
Rb4 0.667 0.333 0.743 1
Gd1 0.013 0.506 0.988 1
Gd2 0.174 0.348 0.749 1
Gd3 0.174 0.826 0.749 1
Gd4 0.348 0.174 0.249 1
Gd5 0.494 0.506 0.988 1
Gd6 0.494 0.987 0.988 1
Gd7 0.506 0.013 0.488 1
Gd8 0.506 0.494 0.488 1
Gd9 0.652 0.826 0.749 1
Gd10 0.826 0.174 0.249 1
Gd11 0.826 0.652 0.249 1
Gd12 0.987 0.494 0.488 1
F1 0.003 0.333 0.119 1
F2 0.003 0.670 0.119 1
F3 0.037 0.518 0.812 1
F4 0.111 0.222 0.286 1
F5 0.111 0.889 0.286 1
F6 0.183 0.366 0.925 1
F7 0.183 0.817 0.925 1
F8 0.220 0.441 0.450 1
F9 0.220 0.780 0.450 1
F10 0.222 0.111 0.786 1
F11 0.330 0.333 0.119 1
F12 0.330 0.997 0.119 1
F13 0.333 0.003 0.619 1
F14 0.333 0.330 0.619 1
F15 0.333 0.667 0.036 1
F16 0.333 0.667 0.692 1
F17 0.366 0.183 0.425 1
F18 0.441 0.220 0.950 1
F19 0.482 0.518 0.812 1
F20 0.482 0.963 0.812 1
F21 0.518 0.037 0.312 1
F22 0.518 0.482 0.312 1
F23 0.559 0.780 0.450 1
F24 0.634 0.817 0.925 1
F25 0.667 0.333 0.192 1
F26 0.667 0.333 0.536 1
F27 0.667 0.670 0.119 1
F28 0.667 0.997 0.119 1
F29 0.670 0.003 0.619 1
F30 0.670 0.667 0.619 1
F31 0.778 0.889 0.286 1
F32 0.780 0.220 0.950 1
F33 0.780 0.559 0.950 1
F34 0.817 0.183 0.425 1
F35 0.817 0.634 0.425 1
F36 0.889 0.111 0.786 1
F37 0.889 0.778 0.786 1
F38 0.963 0.482 0.312 1
F39 0.997 0.330 0.619 1
F40 0.997 0.667 0.619 1
```

Main lines, in order of falling intensity (5 to 70 degrees two-theta):
Position (°2θ), I (rel.)
28.67, 100
26.15, 43
52.75, 41
26.84, 36
44.52, 36
48.55, 32
53.81, 22
32.46, 21
42.60, 15
67.97, 11

Record 6
Diffraction record for BaCuSb2Pd. The XRD peak list is simulated, not measured: it uses DFT lattice parameters and positions (GGA-PBE) and Cu Kα (λ = 1.5418 Å).
Kinematic intensities with the Lorentz-polarization factor, no thermal factor.

Structural model:
```
data_BaCuSb2Pd
_space_group_name_H-M_alt 'P 1'
_space_group_IT_number 1
_cell_length_a 4.733
_cell_length_b 4.733
_cell_length_c 10.904
_cell_angle_alpha 90.00
_cell_angle_beta 90.00
_cell_angle_gamma 90.00
loop_
_space_group_symop_operation_xyz
'x,y,z'
loop_
_atom_site_label
_atom_site_fract_x
_atom_site_fract_y
_atom_site_fract_z
_atom_site_occupancy
Ba1 0.250 0.250 0.242 1
Ba2 0.750 0.750 0.758 1
Cu1 0.250 0.750 0.000 1
Cu2 0.750 0.250 0.000 1
Sb1 0.250 0.250 0.876 1
Sb2 0.250 0.750 0.500 1
Sb3 0.750 0.250 0.500 1
Sb4 0.750 0.750 0.124 1
Pd1 0.250 0.250 0.625 1
Pd2 0.750 0.750 0.375 1
```

Main lines, in order of falling intensity (5 to 70 degrees two-theta):
Position (°2θ), I (rel.)
31.36, 100
38.02, 88
31.02, 87
49.85, 47
42.78, 35
54.86, 30
45.81, 30
64.57, 24
61.00, 24
26.63, 22